# 1
Structure and calculated PXRD pattern of Pb2O3 (a cell relaxed with GGA-PBE; CuKα).
Peak positions follow from Bragg's law for the DFT cell and can differ from measured ones.

Atomic structure:
```
data_Pb2O3
_cell_length_a 4.824
_cell_length_b 4.894
_cell_length_c 7.033
_cell_angle_alpha 90.00
_cell_angle_beta 90.68
_cell_angle_gamma 90.00
_symmetry_space_group_name_H-M 'P 1'
_symmetry_Int_Tables_number 1
loop_
_symmetry_equiv_pos_as_xyz
'x,y,z'
loop_
_atom_site_label
_atom_site_fract_x
_atom_site_fract_y
_atom_site_fract_z
Pb1 0.242 0.250 0.107
Pb2 0.250 0.750 0.495
Pb3 0.750 0.250 0.505
Pb4 0.758 0.750 0.893
O1 0.235 0.750 0.206
O2 0.251 0.250 0.460
O3 0.256 0.750 0.784
O4 0.744 0.250 0.216
O5 0.749 0.750 0.540
O6 0.765 0.250 0.794
```

Main lines, by intensity (5° ≤ 2θ ≤ 70°):
d/Å	I/Imax
3.076	100.0
3.097	96.8
2.447	54.0
2.412	46.5
4.010	43.3
2.856	40.4
1.718	32.8
3.516	32.5
1.692	24.7
2.344	21.8


# 2
Structure and calculated PXRD pattern of BiAs2O7 (a cell relaxed with GGA-PBE; CuKα).
Peak positions follow from Bragg's law for the DFT cell and can differ from measured ones.

Atomic structure:
```
data_BiAs2O7
_cell_length_a 7.598
_cell_length_b 9.916
_cell_length_c 10.187
_cell_angle_alpha 90.00
_cell_angle_beta 109.43
_cell_angle_gamma 90.00
_symmetry_space_group_name_H-M 'P 1'
_symmetry_Int_Tables_number 1
loop_
_symmetry_equiv_pos_as_xyz
'x,y,z'
loop_
_atom_site_label
_atom_site_fract_x
_atom_site_fract_y
_atom_site_fract_z
Bi1 0.187 0.066 0.290
Bi2 0.187 0.434 0.790
Bi3 0.813 0.566 0.210
Bi4 0.813 0.934 0.710
As1 0.033 0.710 0.967
As2 0.033 0.790 0.467
As3 0.410 0.749 0.745
As4 0.410 0.751 0.245
As5 0.590 0.249 0.755
As6 0.590 0.251 0.255
As7 0.967 0.210 0.533
As8 0.967 0.290 0.033
O1 0.006 0.602 0.831
O2 0.006 0.898 0.331
O3 0.020 0.624 0.409
O4 0.020 0.876 0.909
O5 0.137 0.192 0.459
O6 0.137 0.308 0.959
O7 0.251 0.669 0.089
O8 0.251 0.831 0.589
O9 0.373 0.576 0.728
O10 0.373 0.924 0.228
O11 0.378 0.680 0.384
O12 0.378 0.820 0.884
O13 0.379 0.232 0.282
O14 0.379 0.268 0.782
O15 0.621 0.732 0.218
O16 0.621 0.768 0.718
O17 0.622 0.180 0.116
O18 0.622 0.320 0.616
O19 0.627 0.076 0.772
O20 0.627 0.424 0.272
O21 0.749 0.169 0.411
O22 0.749 0.331 0.911
O23 0.863 0.692 0.041
O24 0.863 0.808 0.541
O25 0.980 0.124 0.091
O26 0.980 0.376 0.591
O27 0.994 0.102 0.669
O28 0.994 0.398 0.169
```

Main lines, by intensity (5° ≤ 2θ ≤ 70°):
d/Å	I/Imax
4.465	100.0
3.447	79.5
5.696	63.7
2.400	51.9
4.803	48.9
3.283	47.9
4.406	42.0
3.001	34.0
7.165	30.1
2.905	29.6


# 3
Structure and calculated PXRD pattern of As4Pd5Pb (a cell relaxed with GGA-PBE; CuKα).
Peak positions follow from Bragg's law for the DFT cell and can differ from measured ones.

Atomic structure:
```
data_As4Pd5Pb
_cell_length_a 6.872
_cell_length_b 6.872
_cell_length_c 9.740
_cell_angle_alpha 105.42
_cell_angle_beta 105.42
_cell_angle_gamma 59.46
_symmetry_space_group_name_H-M 'P 1'
_symmetry_Int_Tables_number 1
loop_
_symmetry_equiv_pos_as_xyz
'x,y,z'
loop_
_atom_site_label
_atom_site_fract_x
_atom_site_fract_y
_atom_site_fract_z
As1 0.025 0.379 0.393
As2 0.148 0.852 0.500
As3 0.207 0.558 0.813
As4 0.379 0.025 0.893
As5 0.429 0.733 0.210
As6 0.558 0.207 0.313
As7 0.733 0.429 0.710
As8 0.852 0.148 0.000
Pd1 0.028 0.974 0.757
Pd2 0.116 0.247 0.631
Pd3 0.247 0.116 0.131
Pd4 0.346 0.461 0.571
Pd5 0.461 0.346 0.071
Pd6 0.546 0.625 0.954
Pd7 0.625 0.546 0.454
Pd8 0.789 0.792 0.350
Pd9 0.792 0.789 0.850
Pd10 0.974 0.028 0.257
Pb1 0.603 0.981 0.604
Pb2 0.981 0.603 0.104
```

Main lines, by intensity (5° ≤ 2θ ≤ 70°):
d/Å	I/Imax
2.926	100.0
2.195	72.6
2.182	62.1
1.963	59.8
2.156	58.9
2.883	55.7
1.948	41.7
3.382	29.1
1.465	16.3
1.442	15.3


# 4
Structure and calculated PXRD pattern of SiO2 (a cell relaxed with GGA-PBE; CuKα).
Peak positions follow from Bragg's law for the DFT cell and can differ from measured ones.

Atomic structure:
```
data_SiO2
_cell_length_a 9.662
_cell_length_b 9.662
_cell_length_c 9.662
_cell_angle_alpha 94.30
_cell_angle_beta 94.30
_cell_angle_gamma 148.21
_symmetry_space_group_name_H-M 'P 1'
_symmetry_Int_Tables_number 1
loop_
_symmetry_equiv_pos_as_xyz
'x,y,z'
loop_
_atom_site_label
_atom_site_fract_x
_atom_site_fract_y
_atom_site_fract_z
Si1 0.119 0.290 0.409
Si2 0.119 0.710 0.829
Si3 0.290 0.119 0.409
Si4 0.290 0.881 0.171
Si5 0.710 0.119 0.829
Si6 0.710 0.881 0.591
Si7 0.881 0.290 0.171
Si8 0.881 0.710 0.591
O1 0.000 0.257 0.257
O2 0.000 0.743 0.743
O3 0.107 0.607 0.215
O4 0.107 0.893 0.500
O5 0.186 0.186 0.373
O6 0.186 0.814 0.000
O7 0.257 0.000 0.257
O8 0.393 0.607 0.500
O9 0.393 0.893 0.785
O10 0.607 0.107 0.215
O11 0.607 0.393 0.500
O12 0.743 0.000 0.743
O13 0.814 0.186 0.000
O14 0.814 0.814 0.627
O15 0.893 0.107 0.500
O16 0.893 0.393 0.785
```

Main lines, by intensity (5° ≤ 2θ ≤ 70°):
d/Å	I/Imax
6.571	100.0
3.933	65.7
9.293	58.1
4.910	45.8
4.156	38.0
2.731	14.8
2.939	14.7
3.002	12.4
2.354	11.2
3.098	9.6